# PmEr7Th2
Theoretical XRD peak list, copper Kα. Input: the GGA-PBE geometry in Alexandria.
Kinematic intensities with the Lorentz-polarization factor, no thermal factor.

Structure:
a b c (Å): 9.376 9.376 5.478
angles (deg): 90.00 90.00 125.08
Fractional coordinates of all 10 atoms:
Pm 0.000 0.000 0.000
Er 0.065 0.287 0.500
Er 0.207 0.793 0.000
Er 0.287 0.065 0.500
Er 0.500 0.500 0.500
Er 0.713 0.935 0.500
Er 0.793 0.207 0.000
Er 0.935 0.713 0.500
Th 0.295 0.705 0.500
Th 0.705 0.295 0.500

Top 10 peaks for 2θ from 10° to 80°, sorted by position:
| 2θ (°) | Rel. int. |
| --- | --- |
| 16.18 | 483 |
| 20.54 | 214 |
| 29.81 | 376 |
| 32.69 | 432 |
| 33.16 | 1000 |
| 35.61 | 473 |
| 38.89 | 207 |
| 44.81 | 300 |
| 58.65 | 199 |
| 62.89 | 205 |



# Pm8Er3Th
Theoretical XRD peak list, copper Kα. Input: the GGA-PBE geometry in Alexandria.
Kinematic intensities with the Lorentz-polarization factor, no thermal factor.

Structure:
a b c (Å): 8.743 8.743 8.743
angles (deg): 135.79 98.82 97.46
Fractional coordinates of all 12 atoms:
Pm 0.086 0.250 0.836
Pm 0.261 0.238 0.499
Pm 0.261 0.762 0.023
Pm 0.415 0.250 0.164
Pm 0.585 0.750 0.836
Pm 0.739 0.238 0.977
Pm 0.739 0.762 0.501
Pm 0.914 0.750 0.164
Er 0.246 0.746 0.500
Er 0.500 0.500 0.000
Er 0.754 0.254 0.500
Th 0.000 0.000 0.000

Top 10 peaks for 2θ from 10° to 80°, sorted by position:
| 2θ (°) | Rel. int. |
| --- | --- |
| 15.55 | 167 |
| 21.93 | 206 |
| 31.02 | 392 |
| 31.32 | 1000 |
| 31.42 | 315 |
| 35.16 | 401 |
| 44.73 | 239 |
| 50.61 | 189 |
| 55.37 | 200 |
| 65.38 | 175 |



# Pm7Er16Th6
Theoretical XRD peak list, copper Kα. Input: the GGA-PBE geometry in Alexandria.
Kinematic intensities with the Lorentz-polarization factor, no thermal factor.

Structure:
a b c (Å): 11.072 11.072 11.072
angles (deg): 60.00 60.00 60.00
Fractional coordinates of all 29 atoms:
Pm 0.000 0.000 0.000
Pm 0.000 0.000 0.500
Pm 0.000 0.500 0.000
Pm 0.000 0.500 0.500
Pm 0.500 0.000 0.000
Pm 0.500 0.000 0.500
Pm 0.500 0.500 0.000
Er 0.025 0.658 0.658
Er 0.122 0.122 0.122
Er 0.122 0.122 0.635
Er 0.122 0.635 0.122
Er 0.342 0.342 0.342
Er 0.342 0.342 0.975
Er 0.342 0.975 0.342
Er 0.365 0.878 0.878
Er 0.635 0.122 0.122
Er 0.658 0.025 0.658
Er 0.658 0.658 0.025
Er 0.658 0.658 0.658
Er 0.878 0.365 0.878
Er 0.878 0.878 0.365
Er 0.878 0.878 0.878
Er 0.975 0.342 0.342
Th 0.331 0.331 0.669
Th 0.331 0.669 0.331
Th 0.331 0.669 0.669
Th 0.669 0.331 0.331
Th 0.669 0.331 0.669
Th 0.669 0.669 0.331

Top 10 peaks for 2θ from 10° to 80°, sorted by position:
| 2θ (°) | Rel. int. |
| --- | --- |
| 27.91 | 302 |
| 29.65 | 915 |
| 32.34 | 1000 |
| 33.87 | 250 |
| 34.36 | 421 |
| 38.12 | 209 |
| 46.39 | 164 |
| 49.39 | 260 |
| 50.48 | 189 |
| 58.66 | 415 |



# Pm5Er3Th2
Theoretical XRD peak list, copper Kα. Input: the GGA-PBE geometry in Alexandria.
Kinematic intensities with the Lorentz-polarization factor, no thermal factor.

Structure:
a b c (Å): 10.203 10.203 9.047
angles (deg): 108.63 108.63 115.55
Fractional coordinates of all 20 atoms:
Pm 0.030 0.970 0.750
Pm 0.134 0.364 0.752
Pm 0.221 0.779 0.750
Pm 0.277 0.723 0.250
Pm 0.364 0.134 0.252
Pm 0.636 0.866 0.748
Pm 0.723 0.277 0.750
Pm 0.779 0.221 0.250
Pm 0.866 0.636 0.248
Pm 0.970 0.030 0.250
Er 0.026 0.269 0.044
Er 0.269 0.026 0.544
Er 0.465 0.535 0.250
Er 0.535 0.465 0.750
Er 0.731 0.974 0.456
Er 0.974 0.731 0.956
Th 0.245 0.488 0.482
Th 0.488 0.245 0.982
Th 0.512 0.755 0.018
Th 0.755 0.512 0.518

Top 10 peaks for 2θ from 10° to 80°, sorted by position:
| 2θ (°) | Rel. int. |
| --- | --- |
| 20.58 | 178 |
| 29.15 | 596 |
| 31.43 | 1000 |
| 32.27 | 235 |
| 32.92 | 410 |
| 33.51 | 129 |
| 35.29 | 264 |
| 47.69 | 96 |
| 49.26 | 140 |
| 61.94 | 216 |



# Pm3Er4Th
Theoretical XRD peak list, copper Kα. Input: the GGA-PBE geometry in Alexandria.
Kinematic intensities with the Lorentz-polarization factor, no thermal factor.

Structure:
a b c (Å): 6.195 3.581 11.726
angles (deg): 90.00 100.25 90.00
Fractional coordinates of all 8 atoms:
Pm 0.000 0.000 0.000
Pm 0.000 0.500 0.500
Pm 0.500 0.000 0.500
Er 0.254 0.500 0.249
Er 0.256 0.000 0.754
Er 0.744 0.000 0.246
Er 0.746 0.500 0.751
Th 0.500 0.500 0.000

Top 10 peaks for 2θ from 10° to 80°, sorted by position:
| 2θ (°) | Rel. int. |
| --- | --- |
| 30.64 | 1000 |
| 31.00 | 323 |
| 35.63 | 670 |
| 51.04 | 243 |
| 51.51 | 236 |
| 60.71 | 145 |
| 60.89 | 191 |
| 60.99 | 94 |
| 61.32 | 93 |
| 63.79 | 124 |



# Pm2Er4Th3
Theoretical XRD peak list, copper Kα. Input: the GGA-PBE geometry in Alexandria.
Kinematic intensities with the Lorentz-polarization factor, no thermal factor.

Structure:
a b c (Å): 3.560 3.560 26.528
angles (deg): 90.00 90.00 120.00
Fractional coordinates of all 9 atoms:
Pm 0.000 0.000 0.000
Pm 0.000 0.000 0.222
Er 0.000 0.000 0.350
Er 0.000 0.000 0.567
Er 0.333 0.667 0.672
Er 0.333 0.667 0.890
Th 0.000 0.000 0.781
Th 0.333 0.667 0.113
Th 0.333 0.667 0.456

Top 10 peaks for 2θ from 10° to 80°, sorted by position:
| 2θ (°) | Rel. int. |
| --- | --- |
| 28.96 | 439 |
| 30.32 | 470 |
| 30.71 | 128 |
| 32.01 | 623 |
| 33.62 | 1000 |
| 42.43 | 288 |
| 51.33 | 364 |
| 57.05 | 314 |
| 60.79 | 401 |
| 62.76 | 169 |



# Pm5Er2Th3
Theoretical XRD peak list, copper Kα. Input: the GGA-PBE geometry in Alexandria.
Kinematic intensities with the Lorentz-polarization factor, no thermal factor.

Structure:
a b c (Å): 6.238 6.238 11.387
angles (deg): 90.02 90.02 48.00
Fractional coordinates of all 10 atoms:
Pm 0.000 0.000 0.000
Pm 0.199 0.199 0.600
Pm 0.301 0.301 0.898
Pm 0.699 0.699 0.102
Pm 0.801 0.801 0.400
Er 0.402 0.402 0.205
Er 0.598 0.598 0.795
Th 0.098 0.098 0.301
Th 0.500 0.500 0.500
Th 0.902 0.902 0.699

Top 10 peaks for 2θ from 10° to 80°, sorted by position:
| 2θ (°) | Rel. int. |
| --- | --- |
| 30.43 | 1000 |
| 35.23 | 339 |
| 35.38 | 168 |
| 50.68 | 123 |
| 50.79 | 243 |
| 60.27 | 291 |
| 60.46 | 145 |
| 63.32 | 126 |
| 74.49 | 39 |
| 74.84 | 19 |



# Pm4Er2Th
Theoretical XRD peak list, copper Kα. Input: the GGA-PBE geometry in Alexandria.
Kinematic intensities with the Lorentz-polarization factor, no thermal factor.

Structure:
a b c (Å): 9.034 9.034 9.034
angles (deg): 136.00 100.48 95.67
Fractional coordinates of all 14 atoms:
Pm 0.157 0.154 0.003
Pm 0.238 0.211 0.474
Pm 0.238 0.764 0.026
Pm 0.349 0.846 0.503
Pm 0.651 0.154 0.497
Pm 0.762 0.236 0.974
Pm 0.762 0.789 0.526
Pm 0.843 0.846 0.997
Er 0.000 0.500 0.500
Er 0.029 0.279 0.750
Er 0.500 0.500 0.000
Er 0.971 0.721 0.250
Th 0.500 0.000 0.000
Th 0.500 0.500 0.500

Top 10 peaks for 2θ from 10° to 80°, sorted by position:
| 2θ (°) | Rel. int. |
| --- | --- |
| 25.66 | 222 |
| 28.45 | 433 |
| 29.46 | 251 |
| 30.03 | 1000 |
| 30.61 | 882 |
| 30.95 | 883 |
| 33.37 | 555 |
| 35.45 | 350 |
| 36.10 | 258 |
| 41.98 | 215 |



# Pm2ErTh
Theoretical XRD peak list, copper Kα. Input: the GGA-PBE geometry in Alexandria.
Kinematic intensities with the Lorentz-polarization factor, no thermal factor.

Structure:
a b c (Å): 7.180 7.180 6.253
angles (deg): 106.62 106.62 59.78
Fractional coordinates of all 8 atoms:
Pm 0.121 0.374 0.249
Pm 0.374 0.121 0.749
Pm 0.626 0.879 0.251
Pm 0.879 0.626 0.751
Er 0.372 0.628 0.750
Er 0.628 0.372 0.250
Th 0.117 0.883 0.250
Th 0.883 0.117 0.750

Top 10 peaks for 2θ from 10° to 80°, sorted by position:
| 2θ (°) | Rel. int. |
| --- | --- |
| 30.28 | 501 |
| 30.42 | 494 |
| 30.55 | 976 |
| 35.30 | 1000 |
| 50.69 | 241 |
| 50.87 | 238 |
| 60.15 | 217 |
| 60.30 | 143 |
| 60.41 | 214 |
| 60.56 | 281 |



# PmEr6Th3
Theoretical XRD peak list, copper Kα. Input: the GGA-PBE geometry in Alexandria.
Kinematic intensities with the Lorentz-polarization factor, no thermal factor.

Structure:
a b c (Å): 10.265 5.607 11.434
angles (deg): 90.00 96.41 90.00
Fractional coordinates of all 20 atoms:
Pm 0.051 0.250 0.330
Pm 0.949 0.750 0.670
Er 0.152 0.250 0.694
Er 0.166 0.750 0.189
Er 0.185 0.750 0.468
Er 0.218 0.750 0.920
Er 0.352 0.250 0.230
Er 0.450 0.250 0.901
Er 0.550 0.750 0.099
Er 0.648 0.750 0.770
Er 0.782 0.250 0.080
Er 0.815 0.250 0.532
Er 0.834 0.250 0.811
Er 0.848 0.750 0.306
Th 0.101 0.250 0.020
Th 0.359 0.750 0.702
Th 0.457 0.250 0.567
Th 0.543 0.750 0.433
Th 0.641 0.250 0.298
Th 0.899 0.750 0.980

Top 10 peaks for 2θ from 10° to 80°, sorted by position:
| 2θ (°) | Rel. int. |
| --- | --- |
| 30.57 | 554 |
| 30.75 | 373 |
| 31.01 | 216 |
| 31.92 | 840 |
| 32.08 | 1000 |
| 32.51 | 504 |
| 33.25 | 241 |
| 33.68 | 137 |
| 35.42 | 226 |
| 56.98 | 175 |



# Pm2Er2Th5
Theoretical XRD peak list, copper Kα. Input: the GGA-PBE geometry in Alexandria.
Kinematic intensities with the Lorentz-polarization factor, no thermal factor.

Structure:
a b c (Å): 6.197 6.209 9.046
angles (deg): 76.47 83.16 60.07
Fractional coordinates of all 9 atoms:
Pm 0.163 0.386 0.329
Pm 0.837 0.614 0.671
Er 0.170 0.161 0.997
Er 0.830 0.839 0.003
Th 0.174 0.936 0.668
Th 0.488 0.722 0.332
Th 0.500 0.500 0.000
Th 0.512 0.278 0.668
Th 0.826 0.064 0.332

Top 10 peaks for 2θ from 10° to 80°, sorted by position:
| 2θ (°) | Rel. int. |
| --- | --- |
| 28.99 | 652 |
| 29.58 | 338 |
| 30.49 | 1000 |
| 31.79 | 684 |
| 31.86 | 684 |
| 31.98 | 574 |
| 33.46 | 487 |
| 33.49 | 581 |
| 33.57 | 554 |
| 51.02 | 479 |



# Pm4Er19Th6
Theoretical XRD peak list, copper Kα. Input: the GGA-PBE geometry in Alexandria.
Kinematic intensities with the Lorentz-polarization factor, no thermal factor.

Structure:
a b c (Å): 8.827 11.144 11.666
angles (deg): 61.49 68.19 71.79
Fractional coordinates of all 29 atoms:
Pm 0.000 0.000 0.000
Pm 0.061 0.668 0.636
Pm 0.542 0.310 0.090
Pm 0.714 0.340 0.455
Er 0.129 0.328 0.272
Er 0.164 0.826 0.257
Er 0.217 0.993 0.405
Er 0.253 0.179 0.034
Er 0.253 0.646 0.037
Er 0.327 0.299 0.688
Er 0.392 0.495 0.806
Er 0.457 0.161 0.446
Er 0.462 0.653 0.452
Er 0.585 0.560 0.169
Er 0.663 0.183 0.822
Er 0.665 0.654 0.823
Er 0.783 0.997 0.599
Er 0.799 0.504 0.591
Er 0.876 0.162 0.239
Er 0.880 0.654 0.242
Er 0.885 0.829 0.888
Er 0.924 0.337 0.859
Er 0.984 0.488 0.010
Th 0.052 0.168 0.628
Th 0.218 0.484 0.408
Th 0.328 0.847 0.690
Th 0.437 0.950 0.873
Th 0.581 0.959 0.166
Th 0.713 0.854 0.433

Top 10 peaks for 2θ from 10° to 80°, sorted by position:
| 2θ (°) | Rel. int. |
| --- | --- |
| 31.98 | 1000 |
| 32.10 | 995 |
| 32.15 | 355 |
| 45.93 | 213 |
| 46.04 | 111 |
| 53.37 | 105 |
| 57.13 | 227 |
| 57.24 | 184 |
| 57.31 | 117 |
| 63.78 | 97 |



Please write out number 12 again, unchanged.
# Pm4Er19Th6
Theoretical XRD peak list, copper Kα. Input: the GGA-PBE geometry in Alexandria.
Kinematic intensities with the Lorentz-polarization factor, no thermal factor.

Structure:
a b c (Å): 8.827 11.144 11.666
angles (deg): 61.49 68.19 71.79
Fractional coordinates of all 29 atoms:
Pm 0.000 0.000 0.000
Pm 0.061 0.668 0.636
Pm 0.542 0.310 0.090
Pm 0.714 0.340 0.455
Er 0.129 0.328 0.272
Er 0.164 0.826 0.257
Er 0.217 0.993 0.405
Er 0.253 0.179 0.034
Er 0.253 0.646 0.037
Er 0.327 0.299 0.688
Er 0.392 0.495 0.806
Er 0.457 0.161 0.446
Er 0.462 0.653 0.452
Er 0.585 0.560 0.169
Er 0.663 0.183 0.822
Er 0.665 0.654 0.823
Er 0.783 0.997 0.599
Er 0.799 0.504 0.591
Er 0.876 0.162 0.239
Er 0.880 0.654 0.242
Er 0.885 0.829 0.888
Er 0.924 0.337 0.859
Er 0.984 0.488 0.010
Th 0.052 0.168 0.628
Th 0.218 0.484 0.408
Th 0.328 0.847 0.690
Th 0.437 0.950 0.873
Th 0.581 0.959 0.166
Th 0.713 0.854 0.433

Top 10 peaks for 2θ from 10° to 80°, sorted by position:
| 2θ (°) | Rel. int. |
| --- | --- |
| 31.98 | 1000 |
| 32.10 | 995 |
| 32.15 | 355 |
| 45.93 | 213 |
| 46.04 | 111 |
| 53.37 | 105 |
| 57.13 | 227 |
| 57.24 | 184 |
| 57.31 | 117 |
| 63.78 | 97 |